# 1
Computed powder XRD pattern of Li5SbO4 for CuKα, from DFT lattice parameters and positions (GGA-PBE).

Structural model:
a = 5.0817 Å, b = 6.0143 Å, c = 7.8424 Å
α = 90.00°, β = 102.27°, γ = 90.00°
Element x y z (fractional)
1 Li 0.1680 0.2500 0.2114
2 Li 0.2600 0.0126 0.5337
3 Li 0.2600 0.4874 0.5337
4 Li 0.3293 0.5153 0.8899
5 Li 0.3293 0.9847 0.8899
6 Li 0.6707 0.0153 0.1101
7 Li 0.6707 0.4847 0.1101
8 Li 0.7400 0.5126 0.4663
9 Li 0.7400 0.9874 0.4663
10 Li 0.8320 0.7500 0.7886
11 Sb 0.1721 0.7500 0.2181
12 Sb 0.8279 0.2500 0.7819
13 O 0.0174 0.5030 0.6995
14 O 0.0174 0.9970 0.6995
15 O 0.3956 0.2500 0.0476
16 O 0.4587 0.7500 0.4390
17 O 0.5413 0.2500 0.5610
18 O 0.6044 0.7500 0.9524
19 O 0.9826 0.0031 0.3005
20 O 0.9826 0.4970 0.3005

Most intense lines, 15° ≤ 2θ ≤ 90°, sorted by position:
2θ/deg  d_spacing  I/Imax
18.8  4.731  100
19.1  4.642  38
23.2  3.830  69
23.3  3.814  24
30.2  2.962  48
35.6  2.524  39

# 2
Computed powder XRD pattern of Li5SbO4 for CuKα, from DFT lattice parameters and positions (GGA-PBE).

Structural model:
a = 6.2787 Å, b = 7.8466 Å, c = 4.6730 Å
α = 90.00°, β = 90.00°, γ = 90.00°
Element x y z (fractional)
1 Li 0.0066 0.0727 0.2409
2 Li 0.0066 0.4273 0.2409
3 Li 0.2500 0.7500 0.2132
4 Li 0.4934 0.0727 0.2409
5 Li 0.4934 0.4273 0.2409
6 Li 0.5066 0.5727 0.7591
7 Li 0.5066 0.9273 0.7591
8 Li 0.7500 0.2500 0.7868
9 Li 0.9934 0.5727 0.7591
10 Li 0.9934 0.9273 0.7591
11 Sb 0.2500 0.2500 0.8288
12 Sb 0.7500 0.7500 0.1712
13 O 0.0159 0.2500 0.5423
14 O 0.2500 0.5270 0.9743
15 O 0.2500 0.9730 0.9743
16 O 0.4841 0.2500 0.5423
17 O 0.5159 0.7500 0.4577
18 O 0.7500 0.0270 0.0257
19 O 0.7500 0.4730 0.0257
20 O 0.9841 0.7500 0.4577

Most intense lines, 15° ≤ 2θ ≤ 90°, sorted by position:
2θ/deg  d_spacing  I/Imax
18.1  4.902  100
22.1  4.015  59
22.7  3.923  30
23.7  3.749  47
33.1  2.710  33
36.3  2.473  33

# 3
Computed powder XRD pattern of LiSbO3 for CuKα, from DFT lattice parameters and positions (GGA-PBE).

Structural model:
a = 6.0221 Å, b = 6.0221 Å, c = 6.0221 Å
α = 90.00°, β = 90.00°, γ = 90.00°
Element x y z (fractional)
1 Li 0.1273 0.3727 0.6273
2 Li 0.3727 0.6273 0.1273
3 Li 0.6273 0.1273 0.3727
4 Li 0.8727 0.8727 0.8727
5 Sb 0.0926 0.9074 0.4074
6 Sb 0.4074 0.0926 0.9074
7 Sb 0.5926 0.5926 0.5926
8 Sb 0.9074 0.4074 0.0926
9 O 0.0156 0.7225 0.1378
10 O 0.1378 0.0156 0.7225
11 O 0.2225 0.3622 0.9844
12 O 0.2775 0.6378 0.4844
13 O 0.3622 0.9844 0.2225
14 O 0.4844 0.2775 0.6378
15 O 0.5156 0.7775 0.8622
16 O 0.6378 0.4844 0.2775
17 O 0.7225 0.1378 0.0156
18 O 0.7775 0.8622 0.5156
19 O 0.8622 0.5156 0.7775
20 O 0.9844 0.2225 0.3622

Most intense lines, 15° ≤ 2θ ≤ 90°, sorted by position:
2θ/deg  d_spacing  I/Imax
20.9  4.258  86
25.6  3.477  73
33.3  2.693  100
47.8  1.904  41
55.0  1.670  22
57.2  1.609  49

# 4
Computed powder XRD pattern of Li3Sc3SbO8 for CuKα, from DFT lattice parameters and positions (GGA-PBE).

Structural model:
a = 6.1938 Å, b = 6.1938 Å, c = 6.1938 Å
α = 61.75°, β = 61.75°, γ = 61.75°
Element x y z (fractional)
1 Li 0.0000 0.5000 0.5000
2 Li 0.5000 0.0000 0.5000
3 Li 0.5000 0.5000 0.0000
4 Sc 0.0000 0.0000 0.5000
5 Sc 0.0000 0.5000 0.0000
6 Sc 0.5000 0.0000 0.0000
7 Sb 0.5000 0.5000 0.5000
8 O 0.2413 0.2413 0.2413
9 O 0.2474 0.7370 0.7370
10 O 0.2630 0.2630 0.7526
11 O 0.2630 0.7526 0.2630
12 O 0.7370 0.2474 0.7370
13 O 0.7370 0.7370 0.2474
14 O 0.7526 0.2630 0.2630
15 O 0.7587 0.7587 0.7587

Most intense lines, 15° ≤ 2θ ≤ 90°, sorted by position:
2θ/deg  d_spacing  I/Imax
17.2  5.167  31
17.8  4.989  100
33.1  2.707  47
40.7  2.217  76
58.0  1.589  23
59.8  1.547  20